This entry pairs a crystal structure of LiLaW2O8 with its theoretical X-ray powder pattern. Radiation: λ = 1.5418 Å (Cu Kα). Structure: a crystal structure in the Materials Project, relaxed with PBE+U.

Most intense lines, 2θ = 10–90°, by angle:
d [Å]  2theta  Rel. int.  hkl
6.119  14.47  840  1 0 -1
5.136  17.27  847  1 1 -1
4.136  21.48  939  1 1 0
3.733  23.84  451  0 1 1
3.294  27.07  655  1 -2 0
3.186  28.01  1000  2 0 0
3.065  29.14  617  2 0 -2
3.054  29.25  632  0 2 -2
2.690  33.31  465  -1 1 2
1.958  46.36  454  1 3 0

Crystal structure
Cell: 7.2745 7.4976 7.6264 Å, 113.73 115.66 91.32°
Fractional positions:
Li (0.2503, 0.1769, 0.0100)
Li (0.7497, 0.8231, 0.9900)
La (0.1851, 0.7872, 0.4615)
La (0.8149, 0.2128, 0.5385)
W (0.2619, 0.7925, 0.0288)
W (0.3543, 0.3972, 0.7175)
W (0.6457, 0.6028, 0.2825)
W (0.7381, 0.2075, 0.9712)
O (0.0426, 0.8027, 0.0885)
O (0.1392, 0.4906, 0.8018)
O (0.1800, 0.1426, 0.5636)
O (0.1847, 0.8654, 0.8094)
O (0.2948, 0.4889, 0.5192)
O (0.3848, 0.6706, 0.2559)
O (0.4452, 0.0348, 0.2487)
O (0.4812, 0.3276, 0.0094)
O (0.5188, 0.6724, 0.9906)
O (0.5548, 0.9652, 0.7513)
O (0.6152, 0.3294, 0.7441)
O (0.7052, 0.5111, 0.4808)
O (0.8153, 0.1346, 0.1906)
O (0.8200, 0.8574, 0.4364)
O (0.8608, 0.5094, 0.1982)
O (0.9574, 0.1973, 0.9115)